For Sb, the PBE geometry in the Materials Project gives the theoretical X-ray diffraction stick pattern in this record (Cu Kα, 1.54184 Å).
Neutral-atom scattering factors, no anomalous dispersion.

Cell and atoms:
a = 6.7145 Å, b = 8.7580 Å, c = 9.0988 Å
α = 73.09°, β = 71.53°, γ = 89.26°
Atoms (fractional coordinates):
Sb 0.0000 0.0000 0.0000
Sb 0.0000 0.5000 0.5000
Sb 0.0309 0.1226 0.6191
Sb 0.0975 0.2948 0.2640
Sb 0.2677 0.7683 0.8359
Sb 0.3804 0.7449 0.3736
Sb 0.4235 0.1615 0.9748
Sb 0.5000 0.0000 0.5000
Sb 0.5000 0.5000 0.0000
Sb 0.5765 0.8385 0.0252
Sb 0.6196 0.2551 0.6264
Sb 0.7323 0.2317 0.1641
Sb 0.9025 0.7052 0.7360
Sb 0.9691 0.8774 0.3809

Most intense lines, 2θ from 10° to 90°, sorted by position:
2θ 10.60, I 47; 2θ 19.23, I 71; 2θ 26.39, I 42; 2θ 26.91, I 42; 2θ 29.48, I 43; 2θ 33.50, I 44; 2θ 34.14, I 100; 2θ 34.94, I 46; 2θ 35.61, I 50; 2θ 38.19, I 46

---

For Y2OF, the PBE geometry in the Materials Project gives the theoretical X-ray diffraction stick pattern in this record (Cu Kα, 1.54184 Å).
Neutral-atom scattering factors, no anomalous dispersion.

Cell and atoms:
a = 3.7242 Å, b = 3.7242 Å, c = 8.5399 Å
α = 90.00°, β = 90.00°, γ = 90.00°
Atoms (fractional coordinates):
Y 0.0000 0.0000 0.2377
Y 0.0000 0.0000 0.7623
O 0.0000 0.0000 0.0000
F 0.0000 0.0000 0.5000

Most intense lines, 2θ from 10° to 90°, sorted by position:
2θ 20.80, I 29; 2θ 23.89, I 100; 2θ 31.89, I 39; 2θ 34.05, I 39; 2θ 40.24, I 21; 2θ 49.19, I 24; 2θ 55.15, I 18; 2θ 55.40, I 16; 2θ 59.58, I 15; 2θ 71.90, I 14

---

For SrHfTiInO6, the PBE geometry in the Materials Project gives the theoretical X-ray diffraction stick pattern in this record (Cu Kα, 1.54184 Å).
Neutral-atom scattering factors, no anomalous dispersion.

Cell and atoms:
a = 5.7058 Å, b = 5.7058 Å, c = 5.7058 Å
α = 60.00°, β = 60.00°, γ = 60.00°
Atoms (fractional coordinates):
Sr 0.0000 0.0000 0.0000
Hf 0.7500 0.7500 0.7500
Ti 0.2500 0.2500 0.2500
In 0.5000 0.5000 0.5000
O 0.0060 0.0060 0.4940
O 0.0060 0.4940 0.0060
O 0.0060 0.4940 0.4940
O 0.4940 0.0060 0.0060
O 0.4940 0.0060 0.4940
O 0.4940 0.4940 0.0060

Most intense lines, 2θ from 10° to 90°, sorted by position:
2θ 19.05, I 22; 2θ 31.36, I 100; 2θ 36.95, I 15; 2θ 44.93, I 32; 2θ 49.22, I 7; 2θ 55.81, I 39; 2θ 59.53, I 5; 2θ 65.43, I 19; 2θ 74.35, I 17; 2θ 82.89, I 6